No. 1
This entry pairs a crystal structure of KGaPb2Se4 with its simulated X-ray diffraction stick pattern. Radiation: Cu Ka. Structure: DFT lattice parameters and positions (GGA-PBE).

Lattice parameters (Å, degrees): 8.6877 8.6877 8.6877 121.02 119.42 89.62
Atoms (fractional coordinates):
K 0.5000 0.0000 0.0000
K 0.5000 0.5000 0.5000
Ga 0.0000 0.0000 0.0000
Ga 0.5000 0.0000 0.5000
Pb 0.0000 0.0000 0.5000
Pb 0.0000 0.5000 0.0000
Pb 0.0000 0.5000 0.5000
Pb 0.5000 0.5000 0.0000
Se 0.1905 0.1987 0.9918
Se 0.2461 0.2447 0.4985
Se 0.2461 0.7476 0.0015
Se 0.2930 0.8013 0.4918
Se 0.7070 0.1987 0.5082
Se 0.7539 0.2524 0.9985
Se 0.7539 0.7553 0.5015
Se 0.8095 0.8013 0.0082

Largest 10 diffraction maxima, low angle first, 2θ = 5–70°:
2theta, Rel. int.
12.4, 29
24.0, 15
29.0, 38
29.2, 100
31.6, 16
41.2, 20
41.6, 57
42.3, 18
51.2, 16
52.1, 15

No. 2
This entry pairs a crystal structure of K2Ga3Sn4Pb with its simulated X-ray diffraction stick pattern. Radiation: Cu Ka. Structure: DFT lattice parameters and positions (GGA-PBE).

Lattice parameters (Å, degrees): 5.1366 5.1366 11.2992 90.00 90.00 90.00
Atoms (fractional coordinates):
K 0.0000 0.5000 0.2479
K 0.5000 0.0000 0.7521
Ga 0.0000 0.5000 0.8804
Ga 0.5000 0.0000 0.1196
Ga 0.5000 0.5000 0.5000
Sn 0.0000 0.0000 0.0000
Sn 0.0000 0.5000 0.6370
Sn 0.5000 0.0000 0.3630
Sn 0.5000 0.5000 0.0000
Pb 0.0000 0.0000 0.5000

Largest 10 diffraction maxima, low angle first, 2θ = 5–70°:
2theta, Rel. int.
15.7, 45
19.0, 40
29.2, 100
29.4, 31
34.9, 78
38.5, 21
40.5, 72
50.2, 28
59.2, 27
66.4, 34

Copy entry 1 word for word.
This entry pairs a crystal structure of KGaPb2Se4 with its simulated X-ray diffraction stick pattern. Radiation: Cu Ka. Structure: DFT lattice parameters and positions (GGA-PBE).

Lattice parameters (Å, degrees): 8.6877 8.6877 8.6877 121.02 119.42 89.62
Atoms (fractional coordinates):
K 0.5000 0.0000 0.0000
K 0.5000 0.5000 0.5000
Ga 0.0000 0.0000 0.0000
Ga 0.5000 0.0000 0.5000
Pb 0.0000 0.0000 0.5000
Pb 0.0000 0.5000 0.0000
Pb 0.0000 0.5000 0.5000
Pb 0.5000 0.5000 0.0000
Se 0.1905 0.1987 0.9918
Se 0.2461 0.2447 0.4985
Se 0.2461 0.7476 0.0015
Se 0.2930 0.8013 0.4918
Se 0.7070 0.1987 0.5082
Se 0.7539 0.2524 0.9985
Se 0.7539 0.7553 0.5015
Se 0.8095 0.8013 0.0082

Largest 10 diffraction maxima, low angle first, 2θ = 5–70°:
2theta, Rel. int.
12.4, 29
24.0, 15
29.0, 38
29.2, 100
31.6, 16
41.2, 20
41.6, 57
42.3, 18
51.2, 16
52.1, 15